Starting from the GGA+U geometry in Alexandria, the X-ray diffraction stick pattern of Mn3TlPb2O8 was simulated for CuKα.
Kinematic intensities with the Lorentz-polarization factor, no thermal factor.

Peak list (6 most intense, 2θ = 10–90°, low angle first)
| Position (°2θ) | I_rel |
| --- | --- |
| 25.1 | 35 |
| 28.8 | 83 |
| 29.2 | 79 |
| 32.5 | 100 |
| 41.5 | 43 |
| 51.5 | 64 |

Unit cell a=7.282 b=7.282 c=7.282 alpha=49.68 beta=49.68 gamma=49.68
Atoms (fractional coordinates):
Mn (0.001, 0.500, 0.500)
Mn (0.500, 0.001, 0.500)
Mn (0.500, 0.500, 0.001)
Tl (0.874, 0.874, 0.874)
Pb (0.113, 0.113, 0.113)
Pb (0.514, 0.514, 0.514)
O (0.237, 0.237, 0.690)
O (0.237, 0.690, 0.237)
O (0.281, 0.281, 0.281)
O (0.314, 0.759, 0.759)
O (0.690, 0.237, 0.237)
O (0.719, 0.719, 0.719)
O (0.759, 0.314, 0.759)
O (0.759, 0.759, 0.314)